Computed powder XRD pattern of Te4Mo3WS4 for copper Kα, from a structure optimized by DFT (GGA-PBE).
Peak positions follow from Bragg's law for the DFT cell and can differ from measured ones.

The 6 most intense peaks (2θ = 5–70°), in order of falling intensity:
| h k l | 2theta | I/Imax |
| --- | --- | --- |
| 0 1 8 | 36.15 | 100 |
| 0 0 5 | 11.56 | 99 |
| 1 0 0 | 30.79 | 64 |
| 0 0 3 | 6.93 | 56 |
| 1 0 13 | 43.75 | 48 |
| 1 1 0 | 54.68 | 30 |

```
data_Te4Mo3WS4
_chemical_formula_sum 'Te4 Mo3 W1 S4'
_symmetry_space_group_name_H-M 'P 3 m 1'
_symmetry_Int_Tables_number 156
_symmetry_space_group_name_Hall 'P 3 -2"'
_cell_length_a 3.3576
_cell_length_b 3.3576
_cell_length_c 38.2814
_cell_angle_alpha 90.00
_cell_angle_beta 90.00
_cell_angle_gamma 120.00
loop_
_atom_site_label
_atom_site_type_symbol
_atom_site_fract_x
_atom_site_fract_y
_atom_site_fract_z
Te1 Te 0.0000 0.0000 0.0000
Te2 Te 0.0000 0.0000 0.0988
Te3 Te 0.3333 0.6667 0.4364
Te4 Te 0.3333 0.6667 0.5352
Mo1 Mo 0.0000 0.0000 0.4858
Mo2 Mo 0.3333 0.6667 0.0494
Mo3 Mo 0.3333 0.6667 0.6736
W1 W 0.0000 0.0000 0.8615
S1 S 0.0000 0.0000 0.6341
S2 S 0.0000 0.0000 0.7132
S3 S 0.3333 0.6667 0.8218
S4 S 0.3333 0.6667 0.9012
```